Structure and theoretical powder XRD pattern of SrMnBe2F8 (the GGA+U geometry in Alexandria; λ = 1.5418 Å (Cu Kα)).
Intensities are scaled so that the largest is 100.

Most intense lines, 2θ from 5° to 70°, most intense first:
2θ = 19.73°, I 100
2θ = 41.07°, I 63
2θ = 21.93°, I 58
2θ = 30.55°, I 53
2θ = 31.32°, I 50
2θ = 37.20°, I 43
2θ = 46.49°, I 26
2θ = 44.72°, I 25
2θ = 23.27°, I 24
2θ = 33.13°, I 24
2θ = 23.58°, I 22
2θ = 43.66°, I 19

Cell and atoms:
```
SrMnBe2F8
1.0
4.0568 -2.7040 0.0000
4.0568 2.7040 0.0000
-0.3364 0.0000 7.5451
Sr Mn Be F
1 1 2 8
direct
0.0000 0.0000 0.0000
0.0000 0.0000 0.5000
0.3700 0.3700 0.7313
0.6300 0.6300 0.2687
0.2366 0.7212 0.7237
0.2488 0.2488 0.5699
0.2788 0.7634 0.2763
0.2925 0.2925 0.9168
0.7075 0.7075 0.0832
0.7212 0.2366 0.7237
0.7512 0.7512 0.4301
0.7634 0.2788 0.2763
```